No. 1
Calculated XRD peak list of Pm4Er2Tm3 for Cu Kα (weighted mean of Kα1 and Kα2), from DFT lattice parameters and positions (PBE).
No peak broadening, texture or thermal motion is included.

Main lines, sorted by position (2θ = 5–70°):
2θ/deg, d (Å), I/Imax
30.1, 2.964, 62.3
30.7, 2.915, 47.4
31.1, 2.878, 59.1
31.9, 2.808, 100.0
37.4, 2.407, 33.3
38.1, 2.360, 27.8
50.1, 1.821, 14.1
51.9, 1.761, 13.2
56.1, 1.640, 21.1
58.0, 1.590, 12.4

Atomic structure:
Cell: 10.195 10.195 5.948 Å, 96.05 96.05 69.76°
Element x y z (fractional)
Pm (0.047, 0.825, 0.955)
Pm (0.163, 0.382, 0.117)
Pm (0.175, 0.953, 0.545)
Pm (0.382, 0.163, 0.617)
Pm (0.618, 0.837, 0.383)
Pm (0.825, 0.047, 0.455)
Pm (0.837, 0.618, 0.883)
Pm (0.953, 0.175, 0.045)
Er (0.292, 0.503, 0.705)
Er (0.497, 0.708, 0.795)
Er (0.503, 0.292, 0.205)
Er (0.708, 0.497, 0.295)
Tm (0.017, 0.321, 0.580)
Tm (0.321, 0.017, 0.080)
Tm (0.350, 0.650, 0.250)
Tm (0.650, 0.350, 0.750)
Tm (0.679, 0.983, 0.920)
Tm (0.983, 0.679, 0.420)

***

No. 2
Calculated XRD peak list of SrLi4Sn12 for Cu Kα (weighted mean of Kα1 and Kα2), from DFT lattice parameters and positions (PBE).
No peak broadening, texture or thermal motion is included.

Main lines, sorted by position (2θ = 5–70°):
2θ/deg, d (Å), I/Imax
29.4, 3.037, 100.0
35.0, 2.566, 38.8
44.2, 2.047, 11.9
46.3, 1.960, 10.0
48.3, 1.883, 23.1
55.8, 1.647, 12.6
57.6, 1.600, 17.4
59.3, 1.558, 9.8
66.0, 1.416, 18.8
69.2, 1.358, 11.4

Atomic structure:
Cell: 8.316 8.316 8.316 Å, 109.47 109.47 109.47°
Element x y z (fractional)
Sr (0.000, 0.000, 0.000)
Li (0.000, 0.000, 0.500)
Li (0.000, 0.500, 0.000)
Li (0.500, 0.000, 0.000)
Li (0.500, 0.500, 0.500)
Sn (0.172, 0.826, 0.346)
Sn (0.174, 0.346, 0.521)
Sn (0.174, 0.654, 0.828)
Sn (0.346, 0.172, 0.826)
Sn (0.346, 0.521, 0.174)
Sn (0.479, 0.826, 0.654)
Sn (0.521, 0.174, 0.346)
Sn (0.654, 0.479, 0.826)
Sn (0.654, 0.828, 0.174)
Sn (0.826, 0.346, 0.172)
Sn (0.826, 0.654, 0.479)
Sn (0.828, 0.174, 0.654)

***

No. 3
Calculated XRD peak list of Pm12Ho3Tm for Cu Kα (weighted mean of Kα1 and Kα2), from DFT lattice parameters and positions (PBE).
No peak broadening, texture or thermal motion is included.

Main lines, sorted by position (2θ = 5–70°):
2θ/deg, d (Å), I/Imax
30.2, 2.955, 100.0
35.1, 2.559, 50.7
50.4, 1.809, 36.2
59.9, 1.544, 28.8
60.0, 1.541, 14.3
62.9, 1.477, 12.4

Atomic structure:
Cell: 5.122 5.122 20.437 Å, 90.00 90.00 90.00°
Element x y z (fractional)
Pm (0.000, 0.000, 0.000)
Pm (0.000, 0.000, 0.249)
Pm (0.000, 0.000, 0.500)
Pm (0.000, 0.000, 0.751)
Pm (0.000, 0.500, 0.124)
Pm (0.000, 0.500, 0.375)
Pm (0.000, 0.500, 0.625)
Pm (0.000, 0.500, 0.876)
Pm (0.500, 0.000, 0.124)
Pm (0.500, 0.000, 0.375)
Pm (0.500, 0.000, 0.625)
Pm (0.500, 0.000, 0.876)
Ho (0.500, 0.500, 0.249)
Ho (0.500, 0.500, 0.500)
Ho (0.500, 0.500, 0.751)
Tm (0.500, 0.500, 0.000)